The following is a theoretical powder diffraction line list of Ba2Tm3Se6. It was derived from a DFT-relaxed cell (PBE, Alexandria), using CuKα.

Structural model:
```
Ba2Tm3Se6
1.0
3.595 -6.223 0.000
3.595 6.223 0.000
-2.392 0.000 7.540
Ba Tm Se
2 3 6
Cartesian
3.595 4.146 0.000
3.595 -4.146 0.000
-1.196 0.000 3.770
2.399 2.069 3.770
2.399 -2.069 3.770
0.008 2.064 5.340
1.212 0.000 2.190
0.008 -2.064 5.340
4.789 2.064 2.200
3.585 0.000 5.350
4.789 -2.064 2.200
```

Most intense lines, 2θ from 10° to 90°, by intensity:
| d [Å] | Rel. int. |
| --- | --- |
| 3.033 | 100 |
| 2.222 | 36 |
| 2.075 | 36 |
| 7.540 | 25 |
| 1.713 | 19 |
| 1.321 | 16 |
| 1.395 | 13 |
| 1.517 | 11 |
| 2.403 | 10 |
| 3.425 | 8 |

***

The following is a theoretical powder diffraction line list of Ba2TmZnSe5. It was derived from a DFT-relaxed cell (PBE, Alexandria), using CuKα.

Structural model:
```
Ba2TmZnSe5
1.0
2.128 -9.460 0.000
2.128 9.460 0.000
0.000 0.000 13.224
Ba Tm Zn Se
4 2 2 10
Cartesian
2.128 7.202 6.612
2.128 7.067 1.749
2.128 -7.067 8.361
2.128 -7.202 0.000
2.128 5.620 10.938
2.128 -5.620 4.326
2.128 1.162 3.223
2.128 -1.162 9.835
2.128 8.521 11.154
2.128 3.814 6.205
2.128 3.618 2.389
2.128 2.861 10.827
2.128 0.010 7.707
2.128 -0.010 1.095
2.128 -2.861 4.215
2.128 -3.618 9.002
2.128 -3.814 12.817
2.128 -8.521 4.542
```

Most intense lines, 2θ from 10° to 90°, by intensity:
| d [Å] | Rel. int. |
| --- | --- |
| 3.022 | 100 |
| 3.067 | 46 |
| 2.600 | 39 |
| 2.128 | 24 |
| 1.878 | 23 |
| 1.748 | 18 |
| 3.996 | 17 |
| 2.228 | 16 |
| 2.148 | 13 |
| 5.419 | 12 |

***

The following is a theoretical powder diffraction line list of Ba4USe6. It was derived from a DFT-relaxed cell (PBE, Alexandria), using CuKα.

Structural model:
```
Ba4USe6
1.0
6.391 3.690 5.291
-6.391 3.690 5.291
0.000 -7.379 5.291
Ba U Se
8 2 12
Cartesian
-3.999 0.452 6.613
0.000 0.000 3.968
-2.391 -3.237 9.259
1.608 -3.690 6.613
-1.608 3.690 9.259
2.391 3.237 6.613
0.000 0.000 11.904
3.999 -0.453 9.259
0.000 0.000 0.000
0.000 0.000 7.936
-5.504 -1.551 8.923
-1.409 -5.542 6.950
-1.409 -1.837 6.277
-4.095 3.991 6.950
-0.887 2.139 6.277
-2.296 0.302 9.595
2.296 -0.302 6.277
0.887 -2.139 9.595
4.095 -3.991 8.923
1.409 1.837 9.595
1.409 5.542 8.923
5.504 1.551 6.950
```

Most intense lines, 2θ from 10° to 90°, by intensity:
| d [Å] | Rel. int. |
| --- | --- |
| 2.735 | 100 |
| 2.879 | 97 |
| 3.690 | 79 |
| 3.014 | 52 |
| 2.139 | 51 |
| 3.225 | 49 |
| 6.450 | 45 |
| 6.391 | 42 |
| 1.469 | 35 |
| 2.416 | 29 |